Starting from a structure optimized by DFT (GGA+U), the powder X-ray diffraction pattern of SbP6W3O24 was computed for CuKα.
Neutral-atom scattering factors, no anomalous dispersion.

Crystal structure
```
data_SbP6W3O24
_chemical_formula_sum 'Sb3 P18 W9 O72'
_cell_length_a 8.8626
_cell_length_b 8.8626
_cell_length_c 22.2865
_cell_angle_alpha 90.00
_cell_angle_beta 90.00
_cell_angle_gamma 120.00
_symmetry_space_group_name_H-M 'R 3'
_symmetry_Int_Tables_number 146
_symmetry_space_group_name_Hall 'R 3'
loop_
_atom_site_label
_atom_site_fract_x
_atom_site_fract_y
_atom_site_fract_z
_atom_site_occupancy
Sb1 0.0000 0.0000 0.0000 1
P1 0.0012 0.2900 0.8883 1
P2 0.0205 0.7341 0.3898 1
W1 0.0000 0.0000 0.2827 1
W2 0.0000 0.0000 0.4972 1
W3 0.0000 0.0000 0.7819 1
O1 0.0236 0.2023 0.8305 1
O2 0.0390 0.8402 0.4472 1
O3 0.0616 0.8522 0.3330 1
O4 0.0690 0.8255 0.0541 1
O5 0.1512 0.4672 0.2107 1
O6 0.1671 0.4405 0.6076 1
O7 0.1686 0.6893 0.3940 1
O8 0.1795 0.4597 0.8984 1
```

Largest 10 diffraction maxima, low angle first, 15 to 90 degrees two-theta:
d_spacing	intensity
4.509	100.0
4.431	84.9
3.806	25.1
3.160	57.3
2.847	39.8
2.573	38.2
2.558	27.6
1.989	20.8
1.767	21.0
1.675	19.9